No. 1
Starting from a PBE-relaxed structure, the powder X-ray diffraction pattern of Cu4ICl5 was computed for Cu Kα (λ = 1.5418 Å).

Main lines, sorted by position (10° ≤ 2θ ≤ 90°):
two_theta  I/Imax
14.84  17
19.07  18
21.92  100
28.73  27
28.89  15
30.07  64
33.11  20
42.29  58
46.45  16
51.55  28

```
Cu4ICl5
1.0
7.160 0.000 0.000
0.000 10.821 0.000
0.000 0.000 6.122
Cu I Cl
8 2 10
Direct
0.023 0.250 0.059
0.250 0.523 0.475
0.250 0.977 0.475
0.477 0.250 0.059
0.523 0.750 0.941
0.750 0.023 0.525
0.750 0.477 0.525
0.977 0.750 0.941
0.250 0.750 0.211
0.750 0.250 0.789
0.002 0.081 0.291
0.002 0.419 0.291
0.250 0.250 0.811
0.498 0.081 0.291
0.498 0.419 0.291
0.502 0.581 0.709
0.502 0.919 0.709
0.750 0.750 0.189
0.998 0.581 0.709
0.998 0.919 0.709
```

***

No. 2
Starting from a PBE-relaxed structure, the powder X-ray diffraction pattern of KLaMnN3 was computed for Cu Kα (λ = 1.5418 Å).

Main lines, sorted by position (10° ≤ 2θ ≤ 90°):
two_theta  I/Imax
11.48  100
26.37  16
29.92  30
30.54  30
31.30  64
32.59  73
41.24  16
48.20  15
53.12  14
57.76  13

```
KLaMnN3
1.0
6.829 -1.888 0.000
6.829 1.888 0.000
-2.197 0.000 7.708
K La Mn N
2 2 2 6
Direct
0.135 0.135 0.073
0.865 0.865 0.927
0.157 0.157 0.587
0.843 0.843 0.413
0.494 0.494 0.687
0.506 0.506 0.313
0.012 0.012 0.332
0.348 0.348 0.633
0.377 0.377 0.203
0.623 0.623 0.797
0.652 0.652 0.367
0.988 0.988 0.668
```

***

No. 3
Starting from a PBE-relaxed structure, the powder X-ray diffraction pattern of CdHg3Pb4 was computed for Cu Kα (λ = 1.5418 Å).

Main lines, sorted by position (10° ≤ 2θ ≤ 90°):
two_theta  I/Imax
32.05  100
33.25  98
33.67  50
34.04  45
38.12  17
45.02  17
48.63  33
59.18  26
59.95  18
64.86  29

```
CdHg3Pb4
1.0
3.399 0.000 0.000
0.000 5.323 0.000
0.000 0.000 12.498
Cd Hg Pb
1 3 4
Direct
0.000 0.000 0.000
0.000 0.500 0.871
0.500 0.000 0.501
0.500 0.500 0.368
0.000 0.000 0.257
0.000 0.500 0.614
0.500 0.000 0.761
0.500 0.500 0.109
```

***

What did the third record say?
Starting from a PBE-relaxed structure, the powder X-ray diffraction pattern of CdHg3Pb4 was computed for Cu Kα (λ = 1.5418 Å).

Main lines, sorted by position (10° ≤ 2θ ≤ 90°):
two_theta  I/Imax
32.05  100
33.25  98
33.67  50
34.04  45
38.12  17
45.02  17
48.63  33
59.18  26
59.95  18
64.86  29

```
CdHg3Pb4
1.0
3.399 0.000 0.000
0.000 5.323 0.000
0.000 0.000 12.498
Cd Hg Pb
1 3 4
Direct
0.000 0.000 0.000
0.000 0.500 0.871
0.500 0.000 0.501
0.500 0.500 0.368
0.000 0.000 0.257
0.000 0.500 0.614
0.500 0.000 0.761
0.500 0.500 0.109
```